Calculated X-ray powder pattern of Sn2HRu for Cu Kα (weighted mean of Kα1 and Kα2), from a crystal structure in Alexandria, relaxed with GGA-PBE.
Peak positions follow from Bragg's law for the DFT cell and can differ from measured ones.

Main lines, by intensity (10° ≤ 2θ ≤ 90°):
2θ = 39.68°, I 100; 2θ = 72.01°, I 36; 2θ = 23.99°, I 22; 2θ = 27.77°, I 20; 2θ = 57.37°, I 17; 2θ = 85.50°, I 12; 2θ = 46.90°, I 10; 2θ = 64.91°, I 8; 2θ = 49.12°, I 6; 2θ = 63.07°, I 4; 2θ = 77.14°, I 3

Atomic structure:
Lattice parameters (Å, degrees): 4.5430 4.5430 4.5430 60.00 60.00 60.00
Fractional positions:
1 Sn 0.2500 0.2500 0.2500
2 Sn 0.7500 0.7500 0.7500
3 H 0.0000 0.0000 0.0000
4 Ru 0.5000 0.5000 0.5000